# 1
Starting from DFT lattice parameters and positions (GGA-PBE), the X-ray diffraction stick pattern of TbPm5Pr8 was computed for Cu Kα X-rays.

Most intense lines, 10 to 80 degrees two-theta, most intense first:
| 2θ/deg | I_rel |
| --- | --- |
| 32.9 | 100 |
| 28.6 | 85 |
| 28.5 | 73 |
| 27.3 | 68 |
| 33.9 | 54 |
| 33.5 | 49 |
| 30.9 | 26 |
| 61.3 | 23 |

Crystal structure
Cell: 8.6914 8.6914 8.6914 Å, 110.84 110.84 106.77°
Fractional coordinates of all 14 atoms:
Tb: 0.0000 0.0000 0.0000
Pm: 0.0320 0.4314 0.8130
Pm: 0.2500 0.7500 0.5000
Pm: 0.5686 0.3816 0.6007
Pm: 0.6184 0.2190 0.1870
Pm: 0.7810 0.9680 0.3993
Pr: 0.0874 0.3203 0.3996
Pr: 0.2770 0.1734 0.7583
Pr: 0.3122 0.9126 0.2328
Pr: 0.4152 0.5188 0.2417
Pr: 0.4812 0.7230 0.8964
Pr: 0.6797 0.0793 0.7672
Pr: 0.8266 0.5848 0.1036
Pr: 0.9207 0.6878 0.6004

***

# 2
Starting from DFT lattice parameters and positions (GGA-PBE), the X-ray diffraction stick pattern of MgTl4Cl6 was computed for Cu Kα X-rays.

Most intense lines, 10 to 80 degrees two-theta, most intense first:
| 2θ/deg | I_rel |
| --- | --- |
| 22.8 | 100 |
| 22.7 | 58 |
| 24.8 | 54 |
| 19.7 | 49 |
| 22.0 | 41 |
| 27.9 | 34 |
| 36.2 | 32 |
| 39.1 | 28 |

Crystal structure
Cell: 7.8861 7.8861 15.9343 Å, 110.54 110.54 64.59°
Fractional coordinates of all 22 atoms:
Mg: 0.2451 0.7549 0.5000
Mg: 0.7549 0.2451 0.0000
Tl: 0.1017 0.4328 0.9467
Tl: 0.3078 0.8858 0.0978
Tl: 0.3708 0.6629 0.7980
Tl: 0.4328 0.1017 0.4467
Tl: 0.6629 0.3708 0.2980
Tl: 0.6642 0.9501 0.7328
Tl: 0.8858 0.3078 0.5978
Tl: 0.9501 0.6642 0.2328
Cl: 0.0249 0.5606 0.7685
Cl: 0.0766 0.9897 0.4101
Cl: 0.1248 0.5026 0.4183
Cl: 0.1988 0.9105 0.6502
Cl: 0.3083 0.5631 0.1612
Cl: 0.5026 0.1248 0.9183
Cl: 0.5606 0.0249 0.2685
Cl: 0.5631 0.3083 0.6612
Cl: 0.5739 0.6744 0.5066
Cl: 0.6744 0.5739 0.0066
Cl: 0.9105 0.1988 0.1502
Cl: 0.9897 0.0766 0.9101

***

# 3
Starting from DFT lattice parameters and positions (GGA-PBE), the X-ray diffraction stick pattern of Tl5InBr4Cl2 was computed for Cu Kα X-rays.

Most intense lines, 10 to 80 degrees two-theta, most intense first:
| 2θ/deg | I_rel |
| --- | --- |
| 32.1 | 100 |
| 22.3 | 80 |
| 23.1 | 67 |
| 39.8 | 56 |
| 38.5 | 31 |
| 45.6 | 27 |
| 21.8 | 24 |
| 23.3 | 24 |

Crystal structure
Cell: 9.1916 7.9791 7.9791 Å, 118.49 90.00 90.00°
Fractional coordinates of all 12 atoms:
Tl: 0.0000 0.0000 0.0000
Tl: 0.2416 0.3059 0.6958
Tl: 0.2416 0.6958 0.3059
Tl: 0.7584 0.3059 0.6958
Tl: 0.7584 0.6958 0.3059
In: 0.5000 0.0220 0.0220
Br: 0.2471 0.2776 0.2776
Br: 0.5000 0.5981 0.9842
Br: 0.5000 0.9842 0.5981
Br: 0.7529 0.2776 0.2776
Cl: 0.0000 0.6013 0.9863
Cl: 0.0000 0.9863 0.6013

***

# 4
Starting from DFT lattice parameters and positions (GGA-PBE), the X-ray diffraction stick pattern of LaNd2Hg3 was computed for Cu Kα X-rays.

Most intense lines, 10 to 80 degrees two-theta, most intense first:
| 2θ/deg | I_rel |
| --- | --- |
| 32.7 | 100 |
| 32.9 | 50 |
| 58.6 | 38 |
| 58.4 | 19 |
| 47.2 | 18 |
| 78.5 | 12 |
| 68.6 | 12 |
| 46.8 | 9 |

Crystal structure
Cell: 8.6180 8.6180 7.7693 Å, 90.00 90.00 143.19°
Fractional coordinates of all 12 atoms:
La: 0.1664 0.8336 0.0000
La: 0.8336 0.1664 0.0000
Nd: 0.1680 0.8320 0.5000
Nd: 0.5000 0.5000 0.0000
Nd: 0.5000 0.5000 0.5000
Nd: 0.8320 0.1680 0.5000
Hg: 0.0000 0.0000 0.2557
Hg: 0.0000 0.0000 0.7443
Hg: 0.3351 0.6649 0.2558
Hg: 0.3351 0.6649 0.7442
Hg: 0.6649 0.3351 0.2558
Hg: 0.6649 0.3351 0.7442

***

# 5
Starting from DFT lattice parameters and positions (GGA-PBE), the X-ray diffraction stick pattern of RePt3Rh was computed for Cu Kα X-rays.

Most intense lines, 10 to 80 degrees two-theta, most intense first:
| 2θ/deg | I_rel |
| --- | --- |
| 40.7 | 100 |
| 39.3 | 78 |
| 44.6 | 73 |
| 39.7 | 65 |
| 47.0 | 44 |
| 67.4 | 42 |
| 69.9 | 21 |
| 66.1 | 17 |

Crystal structure
Cell: 2.7790 2.7790 22.7118 Å, 90.00 90.00 120.00°
Fractional coordinates of all 10 atoms:
Re: 0.0000 0.0000 0.0000
Re: 0.0000 0.0000 0.5000
Pt: 0.0000 0.0000 0.2974
Pt: 0.0000 0.0000 0.7974
Pt: 0.3333 0.6667 0.0977
Pt: 0.3333 0.6667 0.4027
Pt: 0.6667 0.3333 0.5977
Pt: 0.6667 0.3333 0.9027
Rh: 0.3333 0.6667 0.6986
Rh: 0.6667 0.3333 0.1986

***

# 6
Starting from DFT lattice parameters and positions (GGA-PBE), the X-ray diffraction stick pattern of Ag2Ir2Os was computed for Cu Kα X-rays.

Most intense lines, 10 to 80 degrees two-theta, most intense first:
| 2θ/deg | I_rel |
| --- | --- |
| 37.6 | 100 |
| 45.2 | 37 |
| 20.0 | 34 |
| 40.7 | 31 |
| 62.4 | 28 |
| 34.8 | 22 |
| 49.9 | 19 |
| 72.1 | 15 |

Crystal structure
Cell: 6.3470 6.3470 4.4327 Å, 90.00 90.00 90.00°
Fractional coordinates of all 10 atoms:
Ag: 0.1726 0.3274 0.0000
Ag: 0.3274 0.8274 0.0000
Ag: 0.6726 0.1726 0.0000
Ag: 0.8274 0.6726 0.0000
Ir: 0.1355 0.6355 0.5000
Ir: 0.3645 0.1355 0.5000
Ir: 0.6355 0.8645 0.5000
Ir: 0.8645 0.3645 0.5000
Os: 0.0000 0.0000 0.5000
Os: 0.5000 0.5000 0.5000